Entry 1:
This entry pairs a crystal structure of VFeIrRh with its simulated X-ray powder pattern. Radiation: Cu Kα (weighted mean of Kα1 and Kα2). Structure: a GGA-PBE-relaxed structure.
Neutral-atom scattering factors, no anomalous dispersion.

Atomic structure:
```
VFeIrRh
1.0
-1.9290 1.9290 3.6200
1.9290 -1.9290 3.6200
1.9290 1.9290 -3.6200
V Fe Ir Rh
1 1 1 1
Cartesian
0.0000 0.0000 0.0000 V
0.0000 0.0000 3.6200 Fe
1.9290 0.0000 1.8100 Ir
0.0000 1.9290 1.8100 Rh
```

Most intense lines, 2θ = 10–80°, low angle first:
| two_theta | I (rel.) |
| --- | --- |
| 24.6 | 20 |
| 26.2 | 14 |
| 32.8 | 20 |
| 41.4 | 100 |
| 47.1 | 34 |
| 50.4 | 14 |
| 53.9 | 10 |
| 54.7 | 4 |
| 61.5 | 7 |
| 68.8 | 11 |
| 71.5 | 19 |
| 74.3 | 4 |

=====

Entry 2:
This entry pairs a crystal structure of ScGa2Cl5 with its simulated X-ray powder pattern. Radiation: Cu Kα (weighted mean of Kα1 and Kα2). Structure: a GGA-PBE-relaxed structure.
Neutral-atom scattering factors, no anomalous dispersion.

Atomic structure:
```
ScGa2Cl5
1.0
8.2952 -3.5716 0.0000
8.2952 3.5716 0.0000
-5.5238 0.0000 7.8602
Sc Ga Cl
2 4 10
Cartesian
8.2952 3.5706 0.0000 Sc
5.5333 -3.5706 3.9301 Sc
0.4143 0.2628 7.8515 Ga
3.1762 -0.2628 3.9214 Ga
7.8795 0.2599 3.9272 Ga
5.1176 -0.2599 7.8574 Ga
2.0855 0.7954 1.0924 Cl
4.1544 2.6011 5.8961 Cl
5.3565 1.3662 2.8054 Cl
-0.6764 -0.7954 5.0225 Cl
8.4695 1.3660 1.1265 Cl
2.5946 -1.3662 6.7355 Cl
11.7453 0.7979 2.8325 Cl
5.7076 -1.3660 5.0566 Cl
6.9163 -2.6011 1.9660 Cl
8.9834 -0.7979 6.7626 Cl
```

Most intense lines, 2θ = 10–80°, low angle first:
| two_theta | I (rel.) |
| --- | --- |
| 13.0 | 28 |
| 22.6 | 24 |
| 22.7 | 21 |
| 23.3 | 100 |
| 24.9 | 20 |
| 27.4 | 36 |
| 30.6 | 69 |
| 33.9 | 59 |
| 35.4 | 21 |
| 40.1 | 78 |
| 41.2 | 21 |
| 42.9 | 46 |

=====

Entry 3:
This entry pairs a crystal structure of AlB2P with its simulated X-ray powder pattern. Radiation: Cu Kα (weighted mean of Kα1 and Kα2). Structure: a GGA-PBE-relaxed structure.
Neutral-atom scattering factors, no anomalous dispersion.

Atomic structure:
```
AlB2P
1.0
3.0971 0.0000 0.0000
0.7445 5.8128 0.0000
0.4648 0.3016 5.9932
Al B P
2 4 2
Cartesian
0.0000 0.0000 0.0000 Al
1.5559 3.5552 2.1079 Al
1.5761 1.4086 3.1738 B
3.1368 2.9751 4.9438 B
3.1308 2.5055 3.2180 B
3.0904 1.3293 4.2682 B
1.5903 3.7312 5.7216 P
2.2577 5.8238 1.8131 P
```

Most intense lines, 2θ = 10–80°, low angle first:
| two_theta | I (rel.) |
| --- | --- |
| 14.8 | 49 |
| 20.8 | 29 |
| 21.8 | 81 |
| 29.1 | 35 |
| 29.8 | 53 |
| 30.8 | 100 |
| 33.5 | 35 |
| 33.6 | 30 |
| 33.8 | 92 |
| 40.6 | 60 |
| 45.4 | 32 |
| 55.1 | 29 |

=====

Entry 4:
This entry pairs a crystal structure of Sr3ErTl4 with its simulated X-ray powder pattern. Radiation: Cu Kα (weighted mean of Kα1 and Kα2). Structure: a GGA-PBE-relaxed structure.
Neutral-atom scattering factors, no anomalous dispersion.

Atomic structure:
```
Sr3ErTl4
1.0
3.9773 0.0000 0.0000
0.0000 3.9773 0.0000
0.0000 0.0000 16.2909
Sr Er Tl
3 1 4
Cartesian
0.0000 0.0000 0.0000 Sr
0.0000 0.0000 4.2173 Sr
0.0000 0.0000 12.0735 Sr
0.0000 0.0000 8.1454 Er
1.9886 1.9886 2.0803 Tl
1.9886 1.9886 6.3916 Tl
1.9886 1.9886 9.8993 Tl
1.9886 1.9886 14.2105 Tl
```

Most intense lines, 2θ = 10–80°, low angle first:
| two_theta | I (rel.) |
| --- | --- |
| 22.4 | 11 |
| 31.4 | 100 |
| 31.8 | 52 |
| 44.5 | 8 |
| 45.6 | 19 |
| 55.7 | 16 |
| 56.5 | 39 |
| 65.6 | 10 |
| 66.5 | 6 |
| 73.7 | 5 |
| 75.4 | 9 |
| 75.6 | 9 |

=====

Entry 5:
This entry pairs a crystal structure of La2Dy7Y with its simulated X-ray powder pattern. Radiation: Cu Kα (weighted mean of Kα1 and Kα2). Structure: a GGA-PBE-relaxed structure.
Neutral-atom scattering factors, no anomalous dispersion.

Atomic structure:
```
La2Dy7Y
1.0
6.2113 0.0000 0.0000
2.0297 6.8716 0.0000
2.0836 1.2399 7.6549
La Dy Y
2 7 1
Cartesian
2.0591 2.1755 0.7634 La
8.2655 5.9361 6.8915 La
1.0418 0.6200 3.8275 Dy
3.0727 5.6262 0.7830 Dy
5.1503 4.9951 5.3351 Dy
4.1379 1.5556 5.3288 Dy
6.1867 6.5559 2.3261 Dy
5.1743 3.1164 2.3198 Dy
7.2520 2.4853 6.8719 Dy
2.0567 4.0558 3.8275 Y
```

Most intense lines, 2θ = 10–80°, low angle first:
| two_theta | I (rel.) |
| --- | --- |
| 30.5 | 34 |
| 30.5 | 100 |
| 35.3 | 45 |
| 35.5 | 22 |
| 50.7 | 8 |
| 50.9 | 40 |
| 60.4 | 19 |
| 60.5 | 19 |
| 60.7 | 19 |
| 63.5 | 4 |
| 63.6 | 8 |
| 74.7 | 5 |

=====

Entry 6:
This entry pairs a crystal structure of TiNb4B2 with its simulated X-ray powder pattern. Radiation: Cu Kα (weighted mean of Kα1 and Kα2). Structure: a GGA-PBE-relaxed structure.
Neutral-atom scattering factors, no anomalous dispersion.

Atomic structure:
```
TiNb4B2
1.0
2.0819 1.2020 7.1365
-2.0819 1.2020 7.1365
0.0000 -2.4040 7.1365
Ti Nb B
1 4 2
Cartesian
0.0000 0.0000 0.0000 Ti
0.0000 0.0000 4.5256 Nb
0.0000 0.0000 8.3830 Nb
0.0000 0.0000 13.0266 Nb
0.0000 0.0000 16.8839 Nb
0.0000 0.0000 2.2267 B
0.0000 0.0000 19.1828 B
```

Most intense lines, 2θ = 10–80°, low angle first:
| two_theta | I (rel.) |
| --- | --- |
| 25.0 | 6 |
| 26.1 | 7 |
| 32.5 | 100 |
| 38.6 | 10 |
| 42.0 | 4 |
| 43.5 | 55 |
| 49.5 | 26 |
| 55.3 | 21 |
| 68.0 | 10 |
| 69.4 | 6 |
| 72.8 | 18 |
| 79.8 | 9 |

=====

Entry 7:
This entry pairs a crystal structure of Sc2Al2ZnPd5 with its simulated X-ray powder pattern. Radiation: Cu Kα (weighted mean of Kα1 and Kα2). Structure: a GGA-PBE-relaxed structure.
Neutral-atom scattering factors, no anomalous dispersion.

Atomic structure:
```
Sc2Al2ZnPd5
1.0
9.6570 0.0000 0.0000
0.0000 9.6570 0.0000
0.0000 0.0000 3.5635
Sc Al Zn Pd
4 4 2 10
Cartesian
1.6814 3.1470 0.0000 Sc
3.1470 7.9755 0.0000 Sc
6.5099 1.6814 0.0000 Sc
7.9755 6.5099 0.0000 Sc
1.2061 6.0346 0.0000 Al
3.6223 1.2061 0.0000 Al
6.0346 8.4508 0.0000 Al
8.4508 3.6223 0.0000 Al
0.0000 0.0000 0.0000 Zn
4.8285 4.8285 0.0000 Zn
0.0000 4.8285 1.7818 Pd
0.6493 7.6997 1.7818 Pd
1.9573 0.6493 1.7818 Pd
2.8712 5.4778 1.7818 Pd
4.1792 2.8712 1.7818 Pd
4.8285 0.0000 1.7818 Pd
5.4778 6.7858 1.7818 Pd
6.7858 4.1792 1.7818 Pd
7.6997 9.0077 1.7818 Pd
9.0077 1.9573 1.7818 Pd
```

Most intense lines, 2θ = 10–80°, low angle first:
| two_theta | I (rel.) |
| --- | --- |
| 25.0 | 29 |
| 32.6 | 19 |
| 33.5 | 15 |
| 36.4 | 22 |
| 38.4 | 46 |
| 38.8 | 100 |
| 41.8 | 20 |
| 42.2 | 38 |
| 46.4 | 19 |
| 51.3 | 21 |
| 65.9 | 18 |
| 74.4 | 19 |

=====

Entry 8:
This entry pairs a crystal structure of Nd5In2Bi with its simulated X-ray powder pattern. Radiation: Cu Kα (weighted mean of Kα1 and Kα2). Structure: a GGA-PBE-relaxed structure.
Neutral-atom scattering factors, no anomalous dispersion.

Atomic structure:
```
Nd5In2Bi
1.0
-4.3787 4.3787 6.6461
4.3787 -4.3787 6.6461
4.3787 4.3787 -6.6461
Nd In Bi
10 4 2
Cartesian
0.0000 0.0000 0.0000 Nd
5.7656 1.3869 -1.9886 Nd
1.3869 2.9918 -1.9886 Nd
5.7656 1.3869 1.9886 Nd
1.3869 2.9918 1.9886 Nd
0.0000 0.0000 6.6461 Nd
2.9918 1.3869 4.6576 Nd
-1.3869 2.9918 4.6576 Nd
2.9918 1.3869 8.6347 Nd
-1.3869 2.9918 8.6347 Nd
3.1554 1.2233 0.0000 In
3.1554 -1.2233 6.6461 In
1.2233 5.6020 0.0000 In
1.2233 3.1554 6.6461 In
0.0000 0.0000 3.3231 Bi
0.0000 0.0000 9.9692 Bi
```

Most intense lines, 2θ = 10–80°, low angle first:
| two_theta | I (rel.) |
| --- | --- |
| 28.8 | 14 |
| 30.5 | 100 |
| 32.3 | 62 |
| 33.9 | 22 |
| 42.5 | 8 |
| 46.4 | 11 |
| 47.5 | 11 |
| 52.2 | 10 |
| 60.7 | 23 |
| 61.4 | 7 |
| 63.8 | 7 |
| 65.5 | 9 |